Diffraction record for Li4Nd2Cl9. The X-ray powder pattern is theoretical, not measured: it uses a crystal structure in Alexandria, relaxed with PBE and Cu Kα (λ = 1.5418 Å).
Intensities are scaled so that the largest is 100.

Most intense lines, 2θ from 10° to 80°, in order of rising 2θ:
d/Å  I_rel
5.846  100
3.577  44
2.945  45
2.923  31
2.680  33
2.249  50

Atomic structure:
```
Li4Nd2Cl9
1.0
5.845 -3.376 0.000
5.845 3.376 0.000
0.000 0.000 18.090
Li Nd Cl
8 4 18
Direct
0.166 0.167 0.169
0.167 0.166 0.669
0.167 0.167 0.487
0.167 0.167 0.987
0.833 0.833 0.013
0.833 0.833 0.513
0.833 0.834 0.331
0.834 0.833 0.831
0.500 0.500 0.153
0.500 0.500 0.347
0.500 0.500 0.653
0.500 0.500 0.847
0.127 0.521 0.918
0.127 0.852 0.418
0.148 0.873 0.082
0.149 0.478 0.582
0.165 0.500 0.250
0.165 0.835 0.750
0.478 0.149 0.082
0.479 0.873 0.582
0.500 0.165 0.750
0.500 0.835 0.250
0.521 0.127 0.418
0.522 0.851 0.918
0.835 0.165 0.250
0.835 0.500 0.750
0.851 0.522 0.418
0.852 0.127 0.918
0.873 0.148 0.582
0.873 0.479 0.082
```